Computed XRD peak list
Compound: Pm4Tl3Hg4
Radiation: Cu Kα X-rays
Structure: a crystal structure in Alexandria, relaxed with PBE

Cell and atoms:
Unit cell a=8.1779 b=8.1779 c=7.9245 alpha=91.65 beta=91.65 gamma=36.72
Atoms (fractional coordinates):
1 Pm 0.0200 0.0200 0.2494
2 Pm 0.3157 0.3157 0.2509
3 Pm 0.6843 0.6843 0.7491
4 Pm 0.9800 0.9800 0.7506
5 Tl 0.3438 0.3438 0.7917
6 Tl 0.5000 0.5000 0.5000
7 Tl 0.6562 0.6562 0.2083
8 Hg 0.1558 0.1558 0.9675
9 Hg 0.1671 0.1671 0.5240
10 Hg 0.8329 0.8329 0.4760
11 Hg 0.8442 0.8442 0.0325

Largest 10 diffraction maxima, low angle first, 2θ from 5° to 70°:
2θ/deg  I (rel.)
33.02  100.0
33.75  80.9
34.69  38.5
34.83  47.4
45.82  14.2
49.98  27.8
58.82  13.9
60.65  14.6
61.29  20.2
61.76  14.8

Computed XRD peak list
Compound: Pu2Ga3SiPt4
Radiation: Cu Kα X-rays
Structure: a crystal structure in Alexandria, relaxed with PBE

Cell and atoms:
Unit cell a=4.2142 b=4.2142 c=10.5130 alpha=90.00 beta=90.00 gamma=90.00
Atoms (fractional coordinates):
1 Pu 0.0000 0.5000 0.2428
2 Pu 0.5000 0.0000 0.7572
3 Ga 0.0000 0.0000 0.0000
4 Ga 0.0000 0.5000 0.6374
5 Ga 0.5000 0.0000 0.3626
6 Si 0.5000 0.5000 0.0000
7 Pt 0.0000 0.0000 0.5000
8 Pt 0.0000 0.5000 0.8740
9 Pt 0.5000 0.0000 0.1260
10 Pt 0.5000 0.5000 0.5000

Largest 10 diffraction maxima, low angle first, 2θ from 5° to 70°:
2θ/deg  I (rel.)
29.99  19.8
31.20  30.7
33.25  75.5
34.60  100.0
42.93  65.8
48.38  31.5
55.35  36.3
61.38  15.0
62.33  24.2
66.64  24.3

Computed XRD peak list
Compound: KCu2PbCl8
Radiation: Cu Kα X-rays
Structure: a crystal structure in Alexandria, relaxed with PBE

Cell and atoms:
Unit cell a=8.2453 b=8.2453 c=8.2453 alpha=129.86 beta=129.86 gamma=73.63
Atoms (fractional coordinates):
1 K 0.0000 0.0000 0.0000
2 Cu 0.5000 0.5000 0.0000
3 Cu 0.7500 0.2500 0.5000
4 Pb 0.2500 0.7500 0.5000
5 Cl 0.0055 0.3590 0.9283
6 Cl 0.2219 0.4676 0.6364
7 Cl 0.4145 0.7781 0.2457
8 Cl 0.4307 0.0771 0.0717
9 Cl 0.5324 0.1688 0.7543
10 Cl 0.6410 0.5693 0.6465
11 Cl 0.8312 0.5855 0.3636
12 Cl 0.9229 0.9945 0.3535

Largest 10 diffraction maxima, low angle first, 2θ from 5° to 70°:
2θ/deg  I (rel.)
14.34  46.3
17.95  28.0
22.48  100.0
25.50  32.4
27.02  57.3
29.37  43.8
35.22  25.6
36.37  25.5
37.49  28.8
43.17  82.3

Computed XRD peak list
Compound: CeTm3N4
Radiation: Cu Kα X-rays
Structure: a crystal structure in Alexandria, relaxed with PBE

Cell and atoms:
Unit cell a=5.9642 b=6.8863 c=5.9642 alpha=90.00 beta=109.50 gamma=90.00
Atoms (fractional coordinates):
1 Ce 0.0000 0.1277 0.2500
2 Ce 0.0000 0.8723 0.7500
3 Tm 0.0000 0.3775 0.7500
4 Tm 0.0000 0.6225 0.2500
5 Tm 0.5000 0.1281 0.7500
6 Tm 0.5000 0.3777 0.2500
7 Tm 0.5000 0.6223 0.7500
8 Tm 0.5000 0.8719 0.2500
9 N 0.2515 0.3765 0.5007
10 N 0.2515 0.6235 0.0007
11 N 0.2532 0.1274 0.0003
12 N 0.2532 0.8726 0.5003
13 N 0.7468 0.1274 0.4997
14 N 0.7468 0.8726 0.9997
15 N 0.7485 0.3765 0.9993
16 N 0.7485 0.6235 0.4993

Largest 5 diffraction maxima, low angle first, 2θ from 5° to 70°:
2θ/deg  I (rel.)
31.83  100.0
36.92  71.0
53.21  48.7
63.35  44.3
66.52  16.3

Computed XRD peak list
Compound: Pr2Si3Pd6
Radiation: Cu Kα X-rays
Structure: a crystal structure in Alexandria, relaxed with PBE

Cell and atoms:
Unit cell a=7.4047 b=7.4047 c=4.3214 alpha=90.00 beta=90.00 gamma=120.00
Atoms (fractional coordinates):
1 Pr 0.3333 0.6667 0.0000
2 Pr 0.6667 0.3333 0.0000
3 Si 0.0000 0.6383 0.5000
4 Si 0.3617 0.3617 0.5000
5 Si 0.6383 0.0000 0.5000
6 Pd 0.0000 0.3096 0.5000
7 Pd 0.0000 0.7877 0.0000
8 Pd 0.2123 0.2123 0.0000
9 Pd 0.3096 0.0000 0.5000
10 Pd 0.6904 0.6904 0.5000
11 Pd 0.7877 0.0000 0.0000

Largest 10 diffraction maxima, low angle first, 2θ from 5° to 70°:
2θ/deg  I (rel.)
27.82  14.4
31.83  100.0
34.84  9.1
37.09  22.7
41.81  25.0
42.28  27.9
42.78  48.5
53.88  8.0
57.11  12.8
60.97  18.6

Computed XRD peak list
Compound: Li2GaF4
Radiation: Cu Kα X-rays
Structure: a crystal structure in Alexandria, relaxed with PBE

Cell and atoms:
Unit cell a=4.5524 b=4.5524 c=9.6474 alpha=90.00 beta=90.00 gamma=90.00
Atoms (fractional coordinates):
1 Li 0.0000 0.5000 0.2500
2 Li 0.0000 0.5000 0.7500
3 Li 0.5000 0.0000 0.2500
4 Li 0.5000 0.0000 0.7500
5 Ga 0.0000 0.0000 0.0000
6 Ga 0.5000 0.5000 0.5000
7 F 0.2280 0.2280 0.1414
8 F 0.2280 0.7720 0.8586
9 F 0.2720 0.2720 0.6414
10 F 0.2720 0.7280 0.3586
11 F 0.7280 0.2720 0.3586
12 F 0.7280 0.7280 0.6414
13 F 0.7720 0.2280 0.8586
14 F 0.7720 0.7720 0.1414

Largest 10 diffraction maxima, low angle first, 2θ from 5° to 70°:
2θ/deg  I (rel.)
21.58  100.0
27.71  17.2
33.47  64.8
34.14  19.4
43.99  14.1
45.54  20.0
53.25  17.6
55.51  24.0
57.25  14.0
67.95  12.5

Computed XRD peak list
Compound: Mg2ScTi3S8
Radiation: Cu Kα X-rays
Structure: a crystal structure in Alexandria, relaxed with PBE

Cell and atoms:
Unit cell a=7.4476 b=7.4476 c=7.4476 alpha=58.88 beta=58.88 gamma=58.88
Atoms (fractional coordinates):
1 Mg 0.1268 0.1268 0.1268
2 Mg 0.8732 0.8732 0.8732
3 Sc 0.5000 0.5000 0.5000
4 Ti 0.0000 0.5000 0.5000
5 Ti 0.5000 0.0000 0.5000
6 Ti 0.5000 0.5000 0.0000
7 S 0.2541 0.2541 0.7235
8 S 0.2541 0.7235 0.2541
9 S 0.2595 0.2595 0.2595
10 S 0.2765 0.7459 0.7459
11 S 0.7235 0.2541 0.2541
12 S 0.7405 0.7405 0.7405
13 S 0.7459 0.2765 0.7459
14 S 0.7459 0.7459 0.2765

Largest 10 diffraction maxima, low angle first, 2θ from 5° to 70°:
2θ/deg  I (rel.)
14.44  18.7
14.78  32.9
28.04  15.5
28.40  34.7
28.57  16.1
34.36  100.0
45.15  15.6
48.93  50.1
49.82  49.3
61.92  14.3

Computed XRD peak list
Compound: BeMo3
Radiation: Cu Kα X-rays
Structure: a crystal structure in Alexandria, relaxed with PBE

Cell and atoms:
Unit cell a=4.8545 b=4.8545 c=4.8545 alpha=90.00 beta=90.00 gamma=90.00
Atoms (fractional coordinates):
1 Be 0.0000 0.0000 0.0000
2 Be 0.5000 0.5000 0.5000
3 Mo 0.0000 0.2500 0.5000
4 Mo 0.0000 0.7500 0.5000
5 Mo 0.2500 0.5000 0.0000
6 Mo 0.5000 0.0000 0.2500
7 Mo 0.5000 0.0000 0.7500
8 Mo 0.7500 0.5000 0.0000

Largest 8 diffraction maxima, low angle first, 2θ from 5° to 70°:
2θ/deg  I (rel.)
25.96  39.4
37.04  9.9
41.60  100.0
45.78  21.1
53.38  5.2
60.29  7.1
66.75  17.0
69.86  20.7